# BiO2
Simulated PXRD pattern, Cu Kα, 1.54184 Å. Input: the GGA-PBE geometry in the Materials Project.
Intensities are scaled so that the largest is 100.

Atomic structure:
a = 5.585 Å, b = 5.585 Å, c = 5.585 Å
α = 88.87°, β = 88.87°, γ = 88.87°
Positions (direct):
Bi1 0.000 0.000 0.000
Bi2 0.013 0.511 0.511
Bi3 0.511 0.013 0.511
Bi4 0.511 0.511 0.013
O1 0.226 0.226 0.797
O2 0.226 0.797 0.226
O3 0.284 0.728 0.728
O4 0.305 0.305 0.305
O5 0.728 0.284 0.728
O6 0.728 0.728 0.284
O7 0.787 0.787 0.787
O8 0.797 0.226 0.226

Most intense lines, 2θ from 15° to 90°, in order of rising 2θ:
2θ = 27.1°, I 36
2θ = 27.9°, I 100
2θ = 32.1°, I 50
2θ = 45.5°, I 34
2θ = 46.4°, I 33
2θ = 53.8°, I 17
2θ = 54.6°, I 32
2θ = 55.0°, I 16
2θ = 57.6°, I 11
2θ = 74.8°, I 13


# Bi2O3
Simulated PXRD pattern, Cu Kα, 1.54184 Å. Input: the GGA-PBE geometry in the Materials Project.
Intensities are scaled so that the largest is 100.

Atomic structure:
a = 4.319 Å, b = 3.728 Å, c = 5.717 Å
α = 90.00°, β = 92.66°, γ = 90.00°
Positions (direct):
Bi1 0.000 0.000 0.000
Bi2 0.438 0.500 0.444
O1 0.191 0.500 0.794
O2 0.442 0.000 0.215
O3 0.977 0.500 0.268

Most intense lines, 2θ from 15° to 90°, in order of rising 2θ:
2θ = 25.3°, I 65
2θ = 26.5°, I 57
2θ = 28.6°, I 100
2θ = 31.3°, I 29
2θ = 31.7°, I 64
2θ = 41.9°, I 18
2θ = 44.5°, I 38
2θ = 45.9°, I 24
2θ = 48.8°, I 18
2θ = 50.8°, I 22


# Bi4O7
Simulated PXRD pattern, Cu Kα, 1.54184 Å. Input: the GGA-PBE geometry in the Materials Project.
Intensities are scaled so that the largest is 100.

Atomic structure:
a = 7.896 Å, b = 7.896 Å, c = 5.561 Å
α = 90.00°, β = 90.00°, γ = 90.00°
Positions (direct):
Bi1 0.001 0.239 0.239
Bi2 0.239 0.999 0.761
Bi3 0.261 0.499 0.761
Bi4 0.499 0.739 0.239
Bi5 0.501 0.261 0.239
Bi6 0.739 0.501 0.761
Bi7 0.761 0.001 0.761
Bi8 0.999 0.761 0.239
O1 0.000 0.000 0.000
O2 0.000 0.000 0.500
O3 0.000 0.500 0.000
O4 0.244 0.744 0.500
O5 0.248 0.748 0.000
O6 0.252 0.248 0.000
O7 0.256 0.244 0.500
O8 0.500 0.000 0.000
O9 0.500 0.500 0.000
O10 0.500 0.500 0.500
O11 0.744 0.756 0.500
O12 0.748 0.752 0.000
O13 0.752 0.252 0.000
O14 0.756 0.256 0.500

Most intense lines, 2θ from 15° to 90°, in order of rising 2θ:
2θ = 27.7°, I 100
2θ = 32.1°, I 25
2θ = 32.2°, I 12
2θ = 46.0°, I 49
2θ = 54.5°, I 31
2θ = 54.7°, I 15
2θ = 57.2°, I 10
2θ = 74.2°, I 12
2θ = 76.3°, I 9
2θ = 85.2°, I 10


# BiO2
Simulated PXRD pattern, Cu Kα, 1.54184 Å. Input: the GGA-PBE geometry in the Materials Project.
Intensities are scaled so that the largest is 100.

Atomic structure:
a = 6.083 Å, b = 6.065 Å, c = 6.602 Å
α = 90.00°, β = 116.22°, γ = 90.00°
Positions (direct):
Bi1 0.000 0.129 0.250
Bi2 0.000 0.871 0.750
Bi3 0.500 0.371 0.750
Bi4 0.500 0.629 0.250
O1 0.196 0.120 0.637
O2 0.196 0.880 0.137
O3 0.304 0.380 0.363
O4 0.304 0.620 0.863
O5 0.696 0.380 0.137
O6 0.696 0.620 0.637
O7 0.804 0.120 0.863
O8 0.804 0.880 0.363

Most intense lines, 2θ from 15° to 90°, in order of rising 2θ:
2θ = 21.9°, I 92
2θ = 22.1°, I 100
2θ = 30.2°, I 42
2θ = 30.5°, I 30
2θ = 31.0°, I 25
2θ = 32.8°, I 24
2θ = 33.2°, I 47
2θ = 33.4°, I 24
2θ = 42.1°, I 43
2θ = 48.1°, I 23


# Bi2O3
Simulated PXRD pattern, Cu Kα, 1.54184 Å. Input: the GGA-PBE geometry in the Materials Project.
Intensities are scaled so that the largest is 100.

Atomic structure:
a = 5.589 Å, b = 5.589 Å, c = 5.589 Å
α = 90.00°, β = 90.00°, γ = 90.00°
Positions (direct):
Bi1 0.000 0.000 0.000
Bi2 0.000 0.500 0.500
Bi3 0.500 0.000 0.500
Bi4 0.500 0.500 0.000
O1 0.250 0.250 0.750
O2 0.250 0.750 0.250
O3 0.250 0.750 0.750
O4 0.750 0.250 0.250
O5 0.750 0.250 0.750
O6 0.750 0.750 0.250

Most intense lines, 2θ from 15° to 90°, in order of rising 2θ:
2θ = 27.6°, I 100
2θ = 32.0°, I 40
2θ = 45.9°, I 48
2θ = 54.4°, I 48
2θ = 57.1°, I 11
2θ = 67.0°, I 8
2θ = 73.9°, I 20
2θ = 76.2°, I 16
2θ = 85.0°, I 17